# Li3Mg3Pd
Computed X-ray diffraction stick pattern, Cu Kα, 1.54184 Å. Input: DFT lattice parameters and positions (PBE).

Most intense lines, 2θ = 15–90°, sorted by position:
22.24°, I 40, (1 1 0); 22.77°, I 100, (1 0 1); 25.73°, I 22, (2 0 0); 34.26°, I 18, (2 1 0); 38.05°, I 17, (0 0 2); 39.34°, I 85, (2 1 1); 45.37°, I 20, (2 2 0); 51.34°, I 16, (3 1 1); 60.65°, I 16, (2 2 2); 69.61°, I 15, (2 1 3)

```
data_Li3Mg3Pd
_cell_length_a 7.9960
_cell_length_b 7.9960
_cell_length_c 4.7304
_cell_angle_alpha 90.00
_cell_angle_beta 90.00
_cell_angle_gamma 120.00
_symmetry_space_group_name_H-M 'P 63/m m c'
_symmetry_Int_Tables_number 194
_symmetry_space_group_name_Hall '-P 6c 2c'
loop_
_atom_site_label
_atom_site_fract_x
_atom_site_fract_y
_atom_site_fract_z
Li1 0.1078 0.5539 0.2500
Mg1 0.1402 0.2804 0.7500
Pd1 0.3333 0.6667 0.7500
```